1.
Ac2La2PrDy: computed XRD peak list (CuKα), based on the GGA-PBE geometry in Alexandria.
Peak positions follow from Bragg's law for the DFT cell and can differ from measured ones.

Structural model:
```
data_Ac2La2PrDy
_chemical_formula_sum 'Ac4 La4 Pr2 Dy2'
_symmetry_space_group_name_H-M 'P n n m'
_symmetry_Int_Tables_number 58
_cell_length_a 7.2931
_cell_length_b 10.4430
_cell_length_c 6.0266
_cell_angle_alpha 90.00
_cell_angle_beta 90.00
_cell_angle_gamma 90.00
loop_
_symmetry_equiv_pos_as_xyz
'x,y,z'
'-x,-y,-z'
'-x,-y,z'
'x,y,-z'
'x+1/2,-y+1/2,-z+1/2'
'-x+1/2,y+1/2,z+1/2'
'-x+1/2,y+1/2,-z+1/2'
'x+1/2,-y+1/2,z+1/2'
loop_
_atom_site_label
_atom_site_type_symbol
_atom_site_fract_x
_atom_site_fract_y
_atom_site_fract_z
Ac1 Ac 0.2491 0.1681 0.0000
La1 La 0.2494 0.8337 0.0000
Pr1 Pr 0.0000 0.5000 0.0000
Dy1 Dy 0.0000 0.0000 0.5000
```

Principal peaks in the range 10 to 80 degrees two-theta, in order of rising 2θ:
20.93 deg, I 9, (1 1 1); 24.41 deg, I 9, (2 0 0); 29.64 deg, I 100, (0 3 1); 29.89 deg, I 82, (2 2 0); 38.76 deg, I 16, (2 3 1); 42.60 deg, I 32, (2 2 2); 52.59 deg, I 20, (0 6 0); 52.75 deg, I 34, (2 5 1); 59.23 deg, I 29, (4 3 1); 61.54 deg, I 13, (0 6 2); 69.90 deg, I 15, (2 5 3); 75.53 deg, I 14, (4 6 0)

=====

2.
Ti4GaN: computed XRD peak list (CuKα), based on the GGA-PBE geometry in Alexandria.
Peak positions follow from Bragg's law for the DFT cell and can differ from measured ones.

Structural model:
```
data_Ti4GaN
_chemical_formula_sum 'Ti8 Ga2 N2'
_symmetry_space_group_name_H-M 'P m m n'
_symmetry_Int_Tables_number 59
_cell_length_a 4.0404
_cell_length_b 7.2315
_cell_length_c 6.4473
_cell_angle_alpha 90.00
_cell_angle_beta 90.00
_cell_angle_gamma 90.00
loop_
_symmetry_equiv_pos_as_xyz
'x,y,z'
'-x,-y,-z'
'-x+1/2,-y+1/2,z'
'x+1/2,y+1/2,-z'
'x+1/2,-y,-z'
'-x+1/2,y,z'
'-x,y+1/2,-z'
'x,-y+1/2,z'
loop_
_atom_site_label
_atom_site_type_symbol
_atom_site_fract_x
_atom_site_fract_y
_atom_site_fract_z
Ti1 Ti 0.2500 0.0465 0.2156
Ti2 Ti 0.2500 0.2500 0.7419
Ti3 Ti 0.2500 0.7500 0.5471
Ga1 Ga 0.2500 0.7500 0.9642
N1 N 0.2500 0.2500 0.4333
```

Principal peaks in the range 10 to 80 degrees two-theta, in order of rising 2θ:
24.62 deg, I 30, (0 2 0); 36.13 deg, I 89, (1 2 1); 37.37 deg, I 35, (0 2 2); 37.81 deg, I 100, (1 1 2); 43.74 deg, I 25, (1 3 0); 43.95 deg, I 16, (0 1 3); 44.87 deg, I 40, (2 0 0); 50.48 deg, I 17, (0 4 0); 57.45 deg, I 18, (0 3 3); 59.77 deg, I 16, (2 2 2); 75.71 deg, I 15, (2 3 3); 75.84 deg, I 21, (1 5 2)